The following is a simulated powder X-ray diffraction pattern of TiCrSb2Te. It was derived from a structure optimized by DFT (PBE), using Cu Kα, 1.54184 Å.
No peak broadening, texture or thermal motion is included.

Largest 10 diffraction maxima, sorted by position, 2θ from 5° to 70°:
2θ (°)	d_spacing	I (rel.)	hkl
16.82	5.272	28	1 0 0
29.34	3.044	100	1 1 1
33.93	2.642	27	0 0 2
34.04	2.633	53	2 0 0
38.14	2.359	9	1 0 2
38.21	2.355	5	2 1 0
48.86	1.864	56	2 2 0
57.92	1.592	14	1 1 3
58.07	1.588	28	3 1 1
60.86	1.522	19	2 2 2

Cell and atoms:
```
data_TiCrSb2Te
_cell_length_a 5.2668
_cell_length_b 5.2668
_cell_length_c 5.2837
_cell_angle_alpha 90.00
_cell_angle_beta 90.00
_cell_angle_gamma 90.00
_symmetry_space_group_name_H-M 'P 4/m m m'
_symmetry_Int_Tables_number 123
_symmetry_space_group_name_Hall '-P 4 2'
loop_
_atom_site_label
_atom_site_fract_x
_atom_site_fract_y
_atom_site_fract_z
Ti1 0.0000 0.0000 0.0000
Cr1 0.5000 0.5000 0.5000
Sb1 0.0000 0.5000 0.0000
Te1 0.0000 0.0000 0.5000
```